This entry pairs a crystal structure of Cs2Cd7Hg12 with its computed powder diffraction line list. Radiation: Cu Kα, 1.54184 Å. Structure: the GGA-PBE geometry in Alexandria.
No peak broadening, texture or thermal motion is included.

Crystal structure
Cell: 11.457 11.457 5.458 Å, 90.00 90.00 120.00°
Atoms (fractional coordinates):
Cs: 0.333 0.667 0.266
Cs: 0.667 0.333 0.734
Cd: 0.000 0.000 0.000
Cd: 0.096 0.369 0.801
Cd: 0.273 0.904 0.801
Cd: 0.369 0.273 0.199
Cd: 0.631 0.727 0.801
Cd: 0.727 0.096 0.199
Cd: 0.904 0.631 0.199
Hg: 0.064 0.610 0.742
Hg: 0.103 0.249 0.307
Hg: 0.146 0.897 0.307
Hg: 0.249 0.146 0.693
Hg: 0.390 0.454 0.742
Hg: 0.454 0.064 0.258
Hg: 0.546 0.936 0.742
Hg: 0.610 0.546 0.258
Hg: 0.751 0.854 0.307
Hg: 0.854 0.103 0.693
Hg: 0.897 0.751 0.693
Hg: 0.936 0.390 0.258

Peak list (12 most intense, 10° ≤ 2θ ≤ 80°, low angle first)
| two_theta | I (rel.) | hkl |
| --- | --- | --- |
| 15.5 | 11.1 | 1 1 0 |
| 28.9 | 100.0 | 1 2 1 |
| 32.5 | 20.1 | 3 1 0 |
| 32.8 | 28.3 | 0 0 2 |
| 36.6 | 43.2 | 4 -3 1 |
| 39.6 | 21.5 | 2 3 0 |
| 40.9 | 11.1 | 3 -1 2 |
| 46.9 | 13.2 | 4 -3 2 |
| 48.8 | 10.8 | 5 0 1 |
| 52.3 | 11.7 | 5 -2 2 |
| 56.2 | 12.3 | 1 2 3 |
| 68.4 | 13.1 | 3 5 1 |